Structure and calculated powder XRD pattern of NaZn2InCl6 (a crystal structure in Alexandria, relaxed with PBE; Cu Kα X-rays).

Main lines, by angle (2θ from 10° to 90°):
d_spacing  I (rel.)
4.166  100
4.016  90
3.654  74
3.618  54
3.325  55
2.935  27
2.831  28
2.643  34
2.066  59
1.997  36

Cell and atoms:
Lattice parameters (Å, degrees): 9.3881 9.3881 6.7165 95.73 95.73 89.82
Element x y z (fractional)
Na  0.2058  0.7942  0.7500
Na  0.7942  0.2058  0.2500
Zn  0.1173  0.2865  0.7754
Zn  0.2865  0.1173  0.2754
Zn  0.7135  0.8827  0.7246
Zn  0.8827  0.7135  0.2246
In  0.3987  0.6013  0.2500
In  0.6013  0.3987  0.7500
Cl  0.0864  0.2144  0.0964
Cl  0.0976  0.6666  0.3824
Cl  0.2144  0.0864  0.5964
Cl  0.2664  0.4781  0.8141
Cl  0.3334  0.9024  0.1176
Cl  0.4781  0.2664  0.3141
Cl  0.5219  0.7336  0.6859
Cl  0.6666  0.0976  0.8824
Cl  0.7336  0.5219  0.1859
Cl  0.7856  0.9136  0.4036
Cl  0.9024  0.3334  0.6176
Cl  0.9136  0.7856  0.9036